# Pr2MnFeO5
Simulated PXRD pattern, CuKα. Input: a DFT-relaxed cell (PBE+U, Alexandria).

Principal peaks in the range 2θ from 10° to 90°, in order of rising 2θ:
- 2θ 17.76, d 4.994, I 20, (0 0 2)
- 2θ 26.16, d 3.406, I 40, (0 4 0)
- 2θ 29.86, d 2.992, I 46, (0 2 3)
- 2θ 31.80, d 2.814, I 100, (0 4 2)
- 2θ 32.20, d 2.780, I 45, (1 3 0)
- 2θ 37.81, d 2.379, I 54, (1 1 3)
- 2θ 40.68, d 2.218, I 18, (0 6 1)
- 2θ 45.86, d 1.979, I 20, (1 5 2)
- 2θ 47.42, d 1.917, I 16, (0 2 5)
- 2θ 52.09, d 1.756, I 19, (2 0 0)
- 2θ 56.74, d 1.622, I 17, (1 3 5)
- 2θ 57.08, d 1.614, I 21, (1 7 2)

Structural model:
```
data_Pr2MnFeO5
_space_group_name_H-M_alt 'C m c 21'
_space_group_IT_number 36
_cell_length_a 3.5118
_cell_length_b 13.6483
_cell_length_c 9.9890
_cell_angle_alpha 90.00
_cell_angle_beta 90.00
_cell_angle_gamma 90.00
loop_
_space_group_symop_operation_xyz
'x,y,z'
'-x,-y,z+1/2'
'-x,y,z'
'x,-y,z+1/2'
'x+1/2,y+1/2,z'
'-x+1/2,-y+1/2,z+1/2'
'-x+1/2,y+1/2,z'
'x+1/2,-y+1/2,z+1/2'
loop_
_atom_site_label
_atom_site_fract_x
_atom_site_fract_y
_atom_site_fract_z
_atom_site_occupancy
Pr1 0.0000 0.1137 0.0000 1
Pr2 0.0000 0.1394 0.5944 1
Mn1 0.0000 0.4665 0.7780 1
Fe1 0.0000 0.2133 0.3120 1
O1 0.0000 0.0628 0.3668 1
O2 0.0000 0.2835 0.9632 1
O3 0.0000 0.3123 0.6663 1
O4 0.0000 0.3641 0.3105 1
O5 0.0000 0.4945 0.0783 1
```